(1)
Starting from a crystal structure in Alexandria, relaxed with PBE, the powder XRD pattern of MgTl2Ga10 was calculated for Cu Kα, 1.54184 Å.
Intensities are scaled so that the largest is 100.

Main lines, by intensity (2θ from 5° to 70°):
d [Å]  2θ (°)  Rel. int.
2.833  31.59  100.0
3.989  22.28  93.6
2.651  33.82  56.5
3.345  26.65  47.0
3.253  27.42  42.8
1.907  47.68  42.3

Cell and atoms:
```
data_MgTl2Ga10
_cell_length_a 6.142
_cell_length_b 13.933
_cell_length_c 7.978
_cell_angle_alpha 90.00
_cell_angle_beta 90.17
_cell_angle_gamma 90.00
_symmetry_space_group_name_H-M 'P 1 21/c 1'
_symmetry_Int_Tables_number 14
loop_
_symmetry_equiv_pos_as_xyz
'x,y,z'
'-x,-y,-z'
'-x,y+1/2,-z+1/2'
'x,-y+1/2,z+1/2'
loop_
_atom_site_label
_atom_site_type_symbol
_atom_site_fract_x
_atom_site_fract_y
_atom_site_fract_z
Mg1 Mg 0.000 0.000 0.000
Tl1 Tl 0.499 0.158 0.825
Ga1 Ga 0.000 0.190 0.089
Ga2 Ga 0.001 0.162 0.427
Ga3 Ga 0.001 0.536 0.842
Ga4 Ga 0.302 0.585 0.272
Ga5 Ga 0.303 0.086 0.228
```

***

(2)
Starting from a crystal structure in Alexandria, relaxed with PBE, the powder XRD pattern of Mg8TlGa2 was calculated for Cu Kα, 1.54184 Å.
Intensities are scaled so that the largest is 100.

Main lines, by intensity (2θ from 5° to 70°):
d [Å]  2θ (°)  Rel. int.
3.815  23.32  100.0
4.603  19.28  96.1
3.670  24.25  80.7
6.577  13.46  77.9
2.646  33.88  77.2
2.191  41.20  75.6

Cell and atoms:
```
data_Mg8TlGa2
_cell_length_a 8.271
_cell_length_b 12.508
_cell_length_c 5.149
_cell_angle_alpha 90.00
_cell_angle_beta 110.80
_cell_angle_gamma 90.00
_symmetry_space_group_name_H-M 'C 1 2/m 1'
_symmetry_Int_Tables_number 12
loop_
_symmetry_equiv_pos_as_xyz
'x,y,z'
'-x,-y,-z'
'-x,y,-z'
'x,-y,z'
'x+1/2,y+1/2,z'
'-x+1/2,-y+1/2,-z'
'-x+1/2,y+1/2,-z'
'x+1/2,-y+1/2,z'
loop_
_atom_site_label
_atom_site_type_symbol
_atom_site_fract_x
_atom_site_fract_y
_atom_site_fract_z
Mg1 Mg 0.000 0.235 0.000
Mg2 Mg 0.110 0.500 0.814
Mg3 Mg 0.204 0.122 0.594
Tl1 Tl 0.000 0.000 0.000
Ga1 Ga 0.000 0.310 0.500
```

***

(3)
Starting from a crystal structure in Alexandria, relaxed with PBE, the powder XRD pattern of Mg4TlGa2 was calculated for Cu Kα, 1.54184 Å.
Intensities are scaled so that the largest is 100.

Main lines, by intensity (2θ from 5° to 70°):
d [Å]  2θ (°)  Rel. int.
3.678  24.20  100.0
2.462  36.50  79.7
2.766  32.37  56.9
2.402  37.44  25.6
2.038  44.45  21.7
2.046  44.28  20.8

Cell and atoms:
```
data_Mg4TlGa2
_cell_length_a 4.9232
_cell_length_b 4.9232
_cell_length_c 14.5362
_cell_angle_alpha 90.00
_cell_angle_beta 90.00
_cell_angle_gamma 120.00
_symmetry_space_group_name_H-M 'P 63/m m c'
_symmetry_Int_Tables_number 194
_symmetry_space_group_name_Hall '-P 6c 2c'
loop_
_atom_site_label
_atom_site_type_symbol
_atom_site_fract_x
_atom_site_fract_y
_atom_site_fract_z
Mg1 Mg 0.0000 0.0000 0.0000
Mg2 Mg 0.3333 0.6667 0.1373
Mg3 Mg 0.3333 0.6667 0.7500
Tl1 Tl 0.0000 0.0000 0.2500
Ga1 Ga 0.3333 0.6667 0.5582
```